For Tb3Dy2Bi3, a cell relaxed with GGA-PBE gives the computed PXRD pattern in this record (Cu Kα).
Kinematic intensities with the Lorentz-polarization factor, no thermal factor.

Most intense lines, 2θ = 15–90°, in order of rising 2θ:
Position (°2θ)  I (rel.)
27.96  23
29.72  24
32.93  100
33.81  51
34.22  75
43.40  19
48.87  18
52.71  32
65.57  20
68.65  13

Cell: 9.1849 9.1849 6.3820 Å, 90.00 90.00 120.00°
Space group P6_3/mcm (No. 193)
Asymmetric unit:
1 Tb 0.0000 0.2440 0.2500 [6 per cell]
2 Dy 0.3333 0.6667 0.0000 [4 per cell]
3 Bi 0.0000 0.3897 0.7500 [6 per cell]